1.
Structure and theoretical PXRD pattern of Mg14NbW (a crystal structure in Alexandria, relaxed with PBE; CuKα).

Largest 6 diffraction maxima, sorted by position, 10 to 90 degrees two-theta:
d_spacing  I_rel  index
5.421  70  1 0 0
3.657  46  1 0 2
2.710  32  2 0 0
2.646  21  1 1 2
2.477  24  0 0 4
2.378  100  2 0 2

```
data_Mg14NbW
_symmetry_space_group_name_H-M 'P -6 m 2'
_symmetry_Int_Tables_number 187
_symmetry_space_group_name_Hall 'P -6 2'
_cell_length_a 6.2593
_cell_length_b 6.2593
_cell_length_c 9.9070
_cell_angle_alpha 90.00
_cell_angle_beta 90.00
_cell_angle_gamma 120.00
loop_
_atom_site_label
_atom_site_type_symbol
_atom_site_fract_x
_atom_site_fract_y
_atom_site_fract_z
Mg1 Mg 0.0000 0.0000 0.2443
Mg2 Mg 0.0190 0.5095 0.2541
Mg3 Mg 0.3334 0.1667 0.5000
Mg4 Mg 0.3391 0.1695 0.0000
Nb1 Nb 0.3333 0.6667 0.0000
W1 W 0.3333 0.6667 0.5000
```

=====

2.
Structure and theoretical PXRD pattern of Nd7Mg3 (a crystal structure in Alexandria, relaxed with PBE; CuKα).

Largest 6 diffraction maxima, sorted by position, 10 to 90 degrees two-theta:
d_spacing  I_rel  index
3.442  44  2 1 0
3.208  38  1 0 2
3.076  100  2 1 1
2.775  70  3 0 1
2.738  92  2 0 2
2.629  40  2 2 0

```
data_Nd7Mg3
_symmetry_space_group_name_H-M 'P 63 m c'
_symmetry_Int_Tables_number 186
_symmetry_space_group_name_Hall 'P 6c -2c'
_cell_length_a 10.5149
_cell_length_b 10.5149
_cell_length_c 6.8549
_cell_angle_alpha 90.00
_cell_angle_beta 90.00
_cell_angle_gamma 120.00
loop_
_atom_site_label
_atom_site_type_symbol
_atom_site_fract_x
_atom_site_fract_y
_atom_site_fract_z
Nd1 Nd 0.0485 0.5242 0.0000
Nd2 Nd 0.1228 0.2456 0.2374
Nd3 Nd 0.3333 0.6667 0.3186
Mg1 Mg 0.2182 0.4363 0.6924
```

=====

3.
Structure and theoretical PXRD pattern of Nd5Mg41 (a crystal structure in Alexandria, relaxed with PBE; CuKα).

Largest 6 diffraction maxima, sorted by position, 10 to 90 degrees two-theta:
d_spacing  I_rel  index
5.557  100  2 1 1
3.066  62  2 1 3
2.829  63  5 0 1
2.778  71  4 2 2
2.521  76  5 3 0
2.485  53  1 4 3

```
data_Nd5Mg41
_symmetry_space_group_name_H-M 'I 4/m'
_symmetry_Int_Tables_number 87
_symmetry_space_group_name_Hall '-I 4'
_cell_length_a 14.700
_cell_length_b 14.700
_cell_length_c 10.398
_cell_angle_alpha 90.00
_cell_angle_beta 90.00
_cell_angle_gamma 90.00
loop_
_atom_site_label
_atom_site_type_symbol
_atom_site_fract_x
_atom_site_fract_y
_atom_site_fract_z
Nd1 Nd 0.000 0.000 0.000
Nd2 Nd 0.072 0.264 0.500
Mg1 Mg 0.000 0.000 0.500
Mg2 Mg 0.009 0.403 0.000
Mg3 Mg 0.061 0.227 0.147
Mg4 Mg 0.076 0.633 0.259
Mg5 Mg 0.076 0.864 0.311
Mg6 Mg 0.122 0.780 0.000
Mg7 Mg 0.159 0.717 0.500
Mg8 Mg 0.250 0.250 0.250
```

=====

Number 1 is which compound?
Mg14NbW

=====

Copy entry 3 word for word.
Structure and theoretical PXRD pattern of Nd5Mg41 (a crystal structure in Alexandria, relaxed with PBE; CuKα).

Largest 6 diffraction maxima, sorted by position, 10 to 90 degrees two-theta:
d_spacing  I_rel  index
5.557  100  2 1 1
3.066  62  2 1 3
2.829  63  5 0 1
2.778  71  4 2 2
2.521  76  5 3 0
2.485  53  1 4 3

```
data_Nd5Mg41
_symmetry_space_group_name_H-M 'I 4/m'
_symmetry_Int_Tables_number 87
_symmetry_space_group_name_Hall '-I 4'
_cell_length_a 14.700
_cell_length_b 14.700
_cell_length_c 10.398
_cell_angle_alpha 90.00
_cell_angle_beta 90.00
_cell_angle_gamma 90.00
loop_
_atom_site_label
_atom_site_type_symbol
_atom_site_fract_x
_atom_site_fract_y
_atom_site_fract_z
Nd1 Nd 0.000 0.000 0.000
Nd2 Nd 0.072 0.264 0.500
Mg1 Mg 0.000 0.000 0.500
Mg2 Mg 0.009 0.403 0.000
Mg3 Mg 0.061 0.227 0.147
Mg4 Mg 0.076 0.633 0.259
Mg5 Mg 0.076 0.864 0.311
Mg6 Mg 0.122 0.780 0.000
Mg7 Mg 0.159 0.717 0.500
Mg8 Mg 0.250 0.250 0.250
```